(1)
The following is a computed powder diffraction line list of CaAl2H4Pb2O4F6. It was derived from a structure optimized by DFT (PBE), using Cu Kα (weighted mean of Kα1 and Kα2).
Neutral-atom scattering factors, no anomalous dispersion.

Crystal structure
Cell lengths 4.9730, 7.8105, 8.2227 Å; angles 61.73, 75.94, 85.87 degrees
Fractional coordinates of all 19 atoms:
Ca (0.0000, 0.0000, 0.0000)
Al (0.5470, 0.1270, 0.6568)
Al (0.8597, 0.1105, 0.3144)
H (0.3529, 0.2321, 0.3541)
H (0.4764, 0.9395, 0.2995)
H (0.9368, 0.3889, 0.5586)
H (0.9977, 0.9667, 0.6332)
Pb (0.4176, 0.5984, 0.6488)
Pb (0.5836, 0.5805, 0.2697)
O (0.5275, 0.2237, 0.3986)
O (0.6540, 0.8935, 0.3367)
O (0.7367, 0.3780, 0.5715)
O (0.8347, 0.9958, 0.5788)
F (0.0937, 0.3025, 0.2711)
F (0.1635, 0.9846, 0.2467)
F (0.2420, 0.2498, 0.7303)
F (0.2714, 0.9275, 0.7531)
F (0.6070, 0.0205, 0.8958)
F (0.8370, 0.2391, 0.0673)

Main lines, by intensity (5 to 70 degrees two-theta):
d (Å), 2θ/deg, intensity
4.505, 19.70, 100
4.044, 21.98, 82
4.818, 18.41, 78
3.854, 23.07, 72
2.562, 35.03, 70
6.870, 12.89, 63
3.435, 25.94, 62
3.386, 26.32, 57
7.034, 12.58, 50
4.304, 20.64, 44



(2)
The following is a computed powder diffraction line list of U3GeSe6. It was derived from a structure optimized by DFT (PBE), using Cu Kα (weighted mean of Kα1 and Kα2).
Neutral-atom scattering factors, no anomalous dispersion.

Crystal structure
Cell lengths 8.7673, 8.7673, 7.0723 Å; angles 90.00, 90.00, 102.32 degrees
Fractional coordinates of all 20 atoms:
U (0.0999, 0.9001, 0.5000)
U (0.2206, 0.4207, 0.3906)
U (0.4207, 0.2206, 0.8906)
U (0.5793, 0.7794, 0.3906)
U (0.7794, 0.5793, 0.8906)
U (0.9001, 0.0999, 0.0000)
Ge (0.3252, 0.6748, 0.8661)
Ge (0.6748, 0.3252, 0.3661)
Se (0.0638, 0.5929, 0.6736)
Se (0.1277, 0.1991, 0.6963)
Se (0.1991, 0.1277, 0.1963)
Se (0.2650, 0.7350, 0.2445)
Se (0.4071, 0.9362, 0.6736)
Se (0.4921, 0.5079, 0.6354)
Se (0.5079, 0.4921, 0.1354)
Se (0.5929, 0.0638, 0.1736)
Se (0.7350, 0.2650, 0.7445)
Se (0.8009, 0.8723, 0.6963)
Se (0.8723, 0.8009, 0.1963)
Se (0.9362, 0.4071, 0.1736)

Main lines, by intensity (5 to 70 degrees two-theta):
d (Å), 2θ/deg, intensity
3.663, 24.30, 100
2.502, 35.89, 61
2.648, 33.86, 58
3.615, 24.62, 49
2.190, 41.22, 48
2.456, 36.58, 47
5.454, 16.25, 44
1.833, 49.76, 23
1.962, 46.27, 23
1.469, 63.29, 22



(3)
The following is a computed powder diffraction line list of Pm4ZnIr4. It was derived from a structure optimized by DFT (PBE), using Cu Kα (weighted mean of Kα1 and Kα2).
Neutral-atom scattering factors, no anomalous dispersion.

Crystal structure
Cell lengths 8.6064, 8.6064, 5.7118 Å; angles 90.00, 90.00, 90.00 degrees
Fractional coordinates of all 18 atoms:
Pm (0.0461, 0.8168, 0.1033)
Pm (0.1832, 0.5461, 0.6033)
Pm (0.3168, 0.9539, 0.6033)
Pm (0.4539, 0.6832, 0.1033)
Pm (0.5461, 0.3168, 0.8967)
Pm (0.6832, 0.0461, 0.3967)
Pm (0.8168, 0.4539, 0.3967)
Pm (0.9539, 0.1832, 0.8967)
Zn (0.2500, 0.2500, 0.2500)
Zn (0.7500, 0.7500, 0.7500)
Ir (0.0030, 0.1355, 0.4003)
Ir (0.1355, 0.4970, 0.0997)
Ir (0.3645, 0.0030, 0.0997)
Ir (0.4970, 0.3645, 0.4003)
Ir (0.5030, 0.6355, 0.5997)
Ir (0.6355, 0.9970, 0.9003)
Ir (0.8645, 0.5030, 0.9003)
Ir (0.9970, 0.8645, 0.5997)

Main lines, by intensity (5 to 70 degrees two-theta):
d (Å), 2θ/deg, intensity
2.722, 32.91, 100
2.293, 39.28, 62
2.711, 33.05, 41
1.831, 49.79, 28
1.685, 54.44, 20
1.924, 47.23, 19
4.303, 20.64, 17
4.165, 21.33, 16
1.395, 67.11, 13
1.429, 65.31, 12



(4)
The following is a computed powder diffraction line list of Mn6W. It was derived from a structure optimized by DFT (PBE), using Cu Kα (weighted mean of Kα1 and Kα2).
Neutral-atom scattering factors, no anomalous dispersion.

Crystal structure
Cell lengths 7.6024, 4.5523, 9.5836 Å; angles 90.00, 90.00, 90.00 degrees
Fractional coordinates of all 28 atoms:
Mn (0.0525, 0.2500, 0.0745)
Mn (0.0740, 0.5122, 0.3073)
Mn (0.0740, 0.9878, 0.3073)
Mn (0.0934, 0.7500, 0.5235)
Mn (0.1350, 0.2500, 0.8487)
Mn (0.1885, 0.7500, 0.7552)
Mn (0.3115, 0.2500, 0.2552)
Mn (0.3650, 0.7500, 0.3487)
Mn (0.4066, 0.2500, 0.0235)
Mn (0.4260, 0.0122, 0.8073)
Mn (0.4260, 0.4878, 0.8073)
Mn (0.4475, 0.7500, 0.5745)
Mn (0.5525, 0.2500, 0.4255)
Mn (0.5740, 0.5122, 0.1927)
Mn (0.5740, 0.9878, 0.1927)
Mn (0.5934, 0.7500, 0.9765)
Mn (0.6350, 0.2500, 0.6513)
Mn (0.6885, 0.7500, 0.7448)
Mn (0.8115, 0.2500, 0.2448)
Mn (0.8650, 0.7500, 0.1513)
Mn (0.9066, 0.2500, 0.4765)
Mn (0.9260, 0.0122, 0.6927)
Mn (0.9260, 0.4878, 0.6927)
Mn (0.9475, 0.7500, 0.9255)
W (0.2433, 0.7500, 0.0624)
W (0.2567, 0.2500, 0.5624)
W (0.7433, 0.7500, 0.4376)
W (0.7567, 0.2500, 0.9376)

Main lines, by intensity (5 to 70 degrees two-theta):
d (Å), 2θ/deg, intensity
2.156, 41.90, 100
2.285, 39.43, 35
3.617, 24.61, 24
2.276, 39.59, 17
2.056, 44.04, 14
2.615, 34.29, 14
1.953, 46.50, 13
1.985, 45.71, 12
2.240, 40.26, 11
1.613, 57.12, 11



What is the formula in the first record?
CaAl2H4Pb2O4F6